Theoretical powder X-ray diffraction pattern of CsRbCoF4 for λ = 1.5418 Å (Cu Kα), from a DFT-relaxed cell (GGA+U, Alexandria).
Peak positions follow from Bragg's law for the DFT cell and can differ from measured ones.

Top 10 peaks for 2θ = 15–90°, by angle:
hkl 1 0 -2, 2θ = 23.4°, intensity 39
hkl 1 1 1, 2θ = 25.5°, intensity 100
hkl 0 1 2, 2θ = 26.2°, intensity 29
hkl 1 1 -2, 2θ = 27.2°, intensity 38
hkl 0 2 0, 2θ = 27.5°, intensity 63
hkl 2 1 -1, 2θ = 33.2°, intensity 36
hkl 1 2 -2, 2θ = 36.4°, intensity 60
hkl 2 2 -1, 2θ = 41.2°, intensity 21
hkl 1 3 1, 2θ = 47.4°, intensity 19
hkl 2 2 2, 2θ = 52.3°, intensity 22

Atomic structure:
```
CsRbCoF4
1.0
5.961 0.000 0.000
0.000 6.485 0.000
-2.269 0.000 7.992
Cs Rb Co F
2 2 2 8
direct
0.149 0.250 0.114 Cs
0.851 0.750 0.886 Cs
0.191 0.750 0.495 Rb
0.809 0.250 0.505 Rb
0.382 0.250 0.732 Co
0.618 0.750 0.268 Co
0.209 0.014 0.773 F
0.209 0.486 0.773 F
0.287 0.750 0.179 F
0.320 0.250 0.486 F
0.680 0.750 0.514 F
0.713 0.250 0.821 F
0.791 0.514 0.227 F
0.791 0.986 0.227 F
```